Simulated X-ray diffraction stick pattern of CeMn2GeO6 for Cu Kα, 1.54184 Å, from a PBE+U-relaxed structure.
Neutral-atom scattering factors, no anomalous dispersion.

Structural model:
```
10
Lattice="2.713 1.566 4.825 -2.713 1.566 4.825 0.000 -3.133 4.825" Properties=species:S:1:pos:R:3 pbc="T T T"
Ce 0.000 0.000 0.000
Mn 0.000 0.000 3.105
Mn 0.000 0.000 10.474
Ge 0.000 0.000 7.356
O -0.688 -1.512 6.390
O -1.514 -0.025 8.636
O -0.965 1.352 6.390
O 0.778 -1.299 8.636
O 1.653 0.160 6.390
O 0.735 1.323 8.636
```

Top 10 peaks for 10 to 90 degrees two-theta, by angle:
- 22.6°, d 3.941, I = 506
- 31.2°, d 2.867, I = 1000
- 33.0°, d 2.713, I = 827
- 38.0°, d 2.365, I = 138
- 46.1°, d 1.971, I = 413
- 50.6°, d 1.803, I = 377
- 57.8°, d 1.594, I = 374
- 59.0°, d 1.566, I = 283
- 67.7°, d 1.383, I = 131
- 77.9°, d 1.226, I = 129